[1]
Diffraction record for LiGdNiPd. The powder XRD pattern is simulated, not measured: it uses a cell relaxed with PBE and Cu Ka.
Neutral-atom scattering factors, no anomalous dispersion.

Crystal structure
```
data_LiGdNiPd
_space_group_name_H-M_alt 'P 1'
_space_group_IT_number 1
_cell_length_a 6.5810
_cell_length_b 6.5810
_cell_length_c 6.5810
_cell_angle_alpha 90.00
_cell_angle_beta 90.00
_cell_angle_gamma 90.00
loop_
_space_group_symop_operation_xyz
'x,y,z'
loop_
_atom_site_label
_atom_site_type_symbol
_atom_site_fract_x
_atom_site_fract_y
_atom_site_fract_z
_atom_site_occupancy
Li1 Li 0.0000 0.0000 0.0000 1
Li2 Li 0.0000 0.5000 0.5000 1
Li3 Li 0.5000 0.0000 0.5000 1
Li4 Li 0.5000 0.5000 0.0000 1
Gd1 Gd 0.0000 0.0000 0.5000 1
Gd2 Gd 0.0000 0.5000 0.0000 1
Gd3 Gd 0.5000 0.0000 0.0000 1
Gd4 Gd 0.5000 0.5000 0.5000 1
Ni1 Ni 0.2500 0.2500 0.2500 1
Ni2 Ni 0.2500 0.7500 0.7500 1
Ni3 Ni 0.7500 0.2500 0.7500 1
Ni4 Ni 0.7500 0.7500 0.2500 1
Pd1 Pd 0.2500 0.2500 0.7500 1
Pd2 Pd 0.2500 0.7500 0.2500 1
Pd3 Pd 0.7500 0.2500 0.2500 1
Pd4 Pd 0.7500 0.7500 0.7500 1
```

Largest 7 diffraction maxima, in order of rising 2θ, 2θ = 10–80°:
23.41 deg, d = 3.800 Å, I = 54, (1 1 1); 38.70 deg, d = 2.327 Å, I = 100, (2 2 0); 45.72 deg, d = 1.984 Å, I = 27, (3 1 1); 55.88 deg, d = 1.645 Å, I = 17, (4 0 0); 61.41 deg, d = 1.510 Å, I = 11, (3 3 1); 70.04 deg, d = 1.343 Å, I = 34, (4 2 2); 74.99 deg, d = 1.267 Å, I = 8, (5 1 1)

=====

[2]
Diffraction record for LiGdO2. The powder XRD pattern is simulated, not measured: it uses a cell relaxed with PBE and Cu Ka.
Neutral-atom scattering factors, no anomalous dispersion.

Crystal structure
```
data_LiGdO2
_space_group_name_H-M_alt 'P 1'
_space_group_IT_number 1
_cell_length_a 11.4322
_cell_length_b 3.4498
_cell_length_c 5.3671
_cell_angle_alpha 90.00
_cell_angle_beta 90.00
_cell_angle_gamma 90.00
loop_
_space_group_symop_operation_xyz
'x,y,z'
loop_
_atom_site_label
_atom_site_type_symbol
_atom_site_fract_x
_atom_site_fract_y
_atom_site_fract_z
_atom_site_occupancy
Li1 Li 0.0653 0.2500 0.0973 1
Li2 Li 0.4347 0.7500 0.5973 1
Li3 Li 0.5653 0.2500 0.4027 1
Li4 Li 0.9347 0.7500 0.9027 1
Gd1 Gd 0.1406 0.7500 0.5460 1
Gd2 Gd 0.3594 0.2500 0.0460 1
Gd3 Gd 0.6405 0.7500 0.9540 1
Gd4 Gd 0.8594 0.2500 0.4540 1
O1 O 0.0265 0.2500 0.7436 1
O2 O 0.2036 0.2500 0.3041 1
O3 O 0.2964 0.7500 0.8041 1
O4 O 0.4735 0.7500 0.2436 1
O5 O 0.5265 0.2500 0.7564 1
O6 O 0.7036 0.2500 0.1959 1
O7 O 0.7964 0.7500 0.6959 1
O8 O 0.9735 0.7500 0.2564 1
```

Largest 8 diffraction maxima, in order of rising 2θ, 2θ = 10–80°:
18.26 deg, d = 4.858 Å, I = 100, (1 0 1); 28.73 deg, d = 3.107 Å, I = 72, (3 0 1); 30.26 deg, d = 2.954 Å, I = 60, (2 1 0); 31.30 deg, d = 2.858 Å, I = 24, (4 0 0); 31.81 deg, d = 2.813 Å, I = 73, (1 1 1); 39.01 deg, d = 2.309 Å, I = 21, (3 1 1); 45.68 deg, d = 1.986 Å, I = 42, (2 1 2); 50.84 deg, d = 1.796 Å, I = 33, (5 1 1)

=====

[3]
Diffraction record for LiGdS2O8. The powder XRD pattern is simulated, not measured: it uses a cell relaxed with PBE and Cu Ka.
Neutral-atom scattering factors, no anomalous dispersion.

Crystal structure
```
data_LiGdS2O8
_space_group_name_H-M_alt 'P 1'
_space_group_IT_number 1
_cell_length_a 7.6388
_cell_length_b 7.6388
_cell_length_c 6.0783
_cell_angle_alpha 90.00
_cell_angle_beta 90.00
_cell_angle_gamma 90.00
loop_
_space_group_symop_operation_xyz
'x,y,z'
loop_
_atom_site_label
_atom_site_type_symbol
_atom_site_fract_x
_atom_site_fract_y
_atom_site_fract_z
_atom_site_occupancy
Li1 Li 0.0000 0.5000 0.2500 1
Li2 Li 0.5000 0.0000 0.7500 1
Gd1 Gd 0.0000 0.5000 0.7500 1
Gd2 Gd 0.5000 0.0000 0.2500 1
S1 S 0.2224 0.2776 0.2500 1
S2 S 0.2776 0.7776 0.7500 1
S3 S 0.7224 0.2224 0.7500 1
S4 S 0.7776 0.7224 0.2500 1
O1 O 0.0950 0.3222 0.0682 1
O2 O 0.0950 0.7958 0.6714 1
O3 O 0.1778 0.4050 0.4318 1
O4 O 0.2042 0.0950 0.3286 1
O5 O 0.2958 0.5950 0.8286 1
O6 O 0.3222 0.9050 0.9318 1
O7 O 0.4050 0.2958 0.1714 1
O8 O 0.4050 0.8222 0.5682 1
O9 O 0.5950 0.1778 0.5682 1
O10 O 0.5950 0.7042 0.1714 1
O11 O 0.6778 0.0950 0.9318 1
O12 O 0.7042 0.4050 0.8286 1
O13 O 0.7958 0.9050 0.3286 1
O14 O 0.8222 0.5950 0.4318 1
O15 O 0.9050 0.2042 0.6714 1
O16 O 0.9050 0.6778 0.0682 1
```

Largest 8 diffraction maxima, in order of rising 2θ, 2θ = 10–80°:
16.41 deg, d = 5.401 Å, I = 100, (1 1 0); 18.66 deg, d = 4.756 Å, I = 91, (1 0 1); 22.01 deg, d = 4.038 Å, I = 49, (1 1 1); 30.01 deg, d = 2.978 Å, I = 63, (2 1 1); 33.84 deg, d = 2.649 Å, I = 22, (1 1 2); 38.33 deg, d = 2.349 Å, I = 38, (3 0 1); 44.90 deg, d = 2.019 Å, I = 24, (2 2 2); 48.12 deg, d = 1.891 Å, I = 29, (3 1 2)

=====

> Number 3 is which compound?

LiGdS2O8